Calculated powder diffraction line list of DyBe2H6 for copper Kα, from a PBE-relaxed structure.
Peak positions follow from Bragg's law for the DFT cell and can differ from measured ones.

Structural model:
Cell lengths 4.3419, 4.3419, 6.5885 Å; angles 121.28, 121.28, 44.29 degrees
Element x y z (fractional)
Dy 0.0000 0.0000 0.0000
Be 0.1548 0.1548 0.6512
Be 0.8452 0.8452 0.3488
H 0.0348 0.0348 0.3666
H 0.2980 0.2980 0.3446
H 0.3005 0.3005 0.9364
H 0.6995 0.6995 0.0636
H 0.7020 0.7020 0.6554
H 0.9652 0.9652 0.6334

The 10 most intense peaks (15° ≤ 2θ ≤ 90°), in order of rising 2θ:
16.25 deg, I = 100
22.14 deg, I = 49
26.77 deg, I = 32
28.38 deg, I = 36
30.43 deg, I = 56
30.79 deg, I = 41
32.83 deg, I = 20
38.22 deg, I = 28
39.11 deg, I = 26
44.11 deg, I = 19